For Ba7Ga5AgSe15, a DFT-relaxed cell (GGA-PBE, Alexandria) gives the calculated X-ray diffraction stick pattern in this record (Cu Kα).
Kinematic intensities with the Lorentz-polarization factor, no thermal factor.

```
56
Lattice="10.2618 0.0000 0.0000 -5.1309 8.8870 0.0000 0.0000 0.0000 18.9565" Properties=species:S:1:pos:R:3 pbc="T T T"
Ba 0.0000 0.0000 0.0000
Ba 0.0000 0.0000 9.4783
Ba -2.6539 5.0922 2.0520
Ba -0.9044 3.1295 5.7170
Ba -1.9685 8.1055 5.7170
Ba 3.1624 0.7815 15.1952
Ba 2.0478 4.0425 2.0520
Ba 2.4770 3.7947 11.5303
Ba 0.6061 8.6392 2.0520
Ba 5.7370 0.2478 11.5303
Ba 2.8729 6.5390 5.7170
Ba 4.2265 5.7575 15.1952
Ba 8.0038 2.3480 15.1952
Ba 7.1787 4.8445 11.5303
Ga 0.0000 0.0000 3.5724
Ga 0.0000 0.0000 13.0506
Ga -2.1941 5.7153 17.2564
Ga 0.0000 5.9246 14.0740
Ga 1.2784 4.1292 17.2564
Ga 2.9368 3.1717 7.7781
Ga 0.9157 7.9295 17.2564
Ga 6.0466 0.9575 7.7781
Ga 5.1309 2.9623 4.5957
Ga 6.4093 4.7578 7.7781
Ag 0.0000 5.9246 8.7324
Ag 5.1309 2.9623 18.2107
Se 0.0000 0.0000 6.0225
Se 0.0000 0.0000 15.5007
Se -0.6531 2.1509 2.5889
Se -2.3308 5.8290 14.8104
Se -2.5807 6.5886 8.6457
Se -0.9627 3.8047 18.1225
Se -2.9416 8.3771 2.5889
Se 2.1893 0.5099 12.0671
Se 0.7154 3.3577 8.6457
Se -1.3545 7.8183 18.1225
Se 0.0000 5.9246 4.0124
Se 0.0000 5.9246 11.7087
Se 1.2482 3.9539 14.8104
Se 2.5502 2.2984 18.1240
Se 3.7763 1.0687 8.6442
Se 2.8001 3.0579 5.3321
Se 1.0826 7.9910 14.8104
Se 2.3172 6.1509 18.1225
Se 1.8654 7.8276 8.6457
Se 6.2135 0.8960 5.3321
Se 5.1309 2.9623 2.2305
Se 5.1309 2.9623 13.4906
Se 4.1682 5.0822 8.6442
Se 6.9963 1.0593 18.1240
Se 3.5947 7.2459 2.5889
Se 4.4778 6.7360 12.0671
Se 7.4481 2.7361 8.6442
Se 5.8462 5.5293 18.1240
Se 6.3791 4.9330 5.3321
Se 8.7256 1.6411 12.0671
```

Largest 8 diffraction maxima, by intensity, 5 to 70 degrees two-theta:
Position (°2θ)	Rel. int.	(hkl)
28.2	1000	0 0 6
30.1	915	3 0 0
27.0	556	2 1 1
46.9	421	4 1 0
26.5	355	2 1 0
32.7	331	3 -1 4
46.8	293	4 -1 6
33.3	290	1 1 6